(1)
Calculated powder diffractogram
Compound: PmGdAlTl
Radiation: Cu Kα
Structure: the PBE geometry in Alexandria
Peak positions follow from Bragg's law for the DFT cell and can differ from measured ones.

Structure:
a b c (Å): 7.541 7.541 7.541
angles (deg): 90.00 90.00 90.00
Space group F-43m (No. 216)
Symmetry-distinct sites (fractional):
Pm1 0.000 0.000 0.000 [4 per cell]
Gd1 0.000 0.000 0.500 [4 per cell]
Al1 0.250 0.250 0.250 [4 per cell]
Tl1 0.250 0.250 0.750 [4 per cell]

Largest 10 diffraction maxima, by angle, 10 to 90 degrees two-theta:
| (hkl) | 2theta | intensity |
| --- | --- | --- |
| 1 1 1 | 20.40 | 24 |
| 2 2 0 | 33.61 | 100 |
| 3 1 1 | 39.64 | 14 |
| 4 0 0 | 48.27 | 18 |
| 3 3 1 | 52.92 | 6 |
| 4 2 2 | 60.11 | 38 |
| 5 1 1 | 64.17 | 5 |
| 4 4 0 | 70.66 | 12 |
| 5 3 1 | 74.43 | 4 |
| 6 2 0 | 80.56 | 17 |

(2)
Calculated powder diffractogram
Compound: ErMnCuGe2
Radiation: Cu Kα
Structure: the PBE geometry in Alexandria
Peak positions follow from Bragg's law for the DFT cell and can differ from measured ones.

Structure:
a b c (Å): 4.028 4.028 10.613
angles (deg): 90.00 90.00 90.00
Space group I-4m2 (No. 119)
Symmetry-distinct sites (fractional):
Er1 0.000 0.000 0.000 [2 per cell]
Mn1 0.000 0.500 0.250 [2 per cell]
Cu1 0.000 0.500 0.750 [2 per cell]
Ge1 0.000 0.000 0.383 [4 per cell]

Largest 10 diffraction maxima, by angle, 10 to 90 degrees two-theta:
| (hkl) | 2theta | intensity |
| --- | --- | --- |
| 1 1 0 | 31.41 | 27 |
| 1 0 3 | 33.72 | 89 |
| 1 1 2 | 35.78 | 100 |
| 2 0 0 | 45.01 | 54 |
| 1 0 5 | 48.47 | 39 |
| 2 1 3 | 57.40 | 41 |
| 2 2 0 | 65.54 | 17 |
| 2 1 5 | 68.29 | 28 |
| 3 1 2 | 76.98 | 20 |
| 2 0 8 | 88.18 | 15 |

(3)
Calculated powder diffractogram
Compound: Na5B7C3
Radiation: Cu Kα
Structure: the PBE geometry in Alexandria
Peak positions follow from Bragg's law for the DFT cell and can differ from measured ones.

Structure:
a b c (Å): 17.885 2.833 13.368
angles (deg): 90.00 113.23 90.00
Space group Cm (No. 8)
Symmetry-distinct sites (fractional):
Na1 0.000 0.000 0.000 [2 per cell]
Na2 0.000 0.000 0.495 [2 per cell]
Na3 0.099 0.500 0.199 [2 per cell]
Na4 0.100 0.500 0.697 [2 per cell]
Na5 0.198 0.000 0.396 [2 per cell]
Na6 0.202 0.000 0.897 [2 per cell]
Na7 0.298 0.500 0.595 [2 per cell]
Na8 0.302 0.500 0.098 [2 per cell]
Na9 0.398 0.000 0.799 [2 per cell]
Na10 0.402 0.000 0.296 [2 per cell]
B1 0.035 0.000 0.817 [2 per cell]
B2 0.067 0.500 0.379 [2 per cell]
B3 0.074 0.500 0.895 [2 per cell]
B4 0.141 0.500 0.030 [2 per cell]
B5 0.163 0.000 0.573 [2 per cell]
B6 0.232 0.000 0.212 [2 per cell]
B7 0.260 0.500 0.767 [2 per cell]
B8 0.323 0.500 0.393 [2 per cell]
B9 0.332 0.500 0.913 [2 per cell]
B10 0.364 0.000 0.475 [2 per cell]
B11 0.373 0.000 0.994 [2 per cell]
B12 0.428 0.000 0.603 [2 per cell]
B13 0.469 0.500 0.186 [2 per cell]
B14 0.470 0.500 0.688 [2 per cell]
C1 0.035 0.000 0.315 [2 per cell]
C2 0.131 0.500 0.509 [2 per cell]
C3 0.169 0.000 0.088 [2 per cell]
C4 0.228 0.000 0.704 [2 per cell]
C5 0.263 0.500 0.273 [2 per cell]
C6 0.437 0.000 0.121 [2 per cell]

Largest 10 diffraction maxima, by angle, 10 to 90 degrees two-theta:
| (hkl) | 2theta | intensity |
| --- | --- | --- |
| 2 0 4 | 35.00 | 8 |
| 1 1 2 | 36.23 | 13 |
| 6 0 2 | 41.02 | 36 |
| 8 0 -4 | 42.13 | 100 |
| 9 1 -2 | 56.79 | 7 |
| 3 1 6 | 63.57 | 12 |
| 13 1 -4 | 77.06 | 9 |
| 11 1 2 | 79.28 | 12 |
| 6 2 2 | 80.68 | 7 |
| 8 2 -4 | 81.46 | 6 |

(4)
Calculated powder diffractogram
Compound: Np2In8Ir
Radiation: Cu Kα
Structure: the PBE geometry in Alexandria
Peak positions follow from Bragg's law for the DFT cell and can differ from measured ones.

Structure:
a b c (Å): 4.669 4.669 12.138
angles (deg): 90.00 90.00 90.00
Space group P4/mmm (No. 123)
Symmetry-distinct sites (fractional):
Np1 0.000 0.000 0.192 [2 per cell]
In1 0.000 0.500 0.000 [2 per cell]
In2 0.000 0.500 0.376 [4 per cell]
In3 0.500 0.500 0.191 [2 per cell]
Ir1 0.000 0.000 0.500 [1 per cell]

Largest 10 diffraction maxima, by angle, 10 to 90 degrees two-theta:
| (hkl) | 2theta | intensity |
| --- | --- | --- |
| 1 0 0 | 19.01 | 20 |
| 1 0 3 | 29.21 | 13 |
| 1 1 2 | 30.83 | 24 |
| 1 1 3 | 35.08 | 100 |
| 0 0 5 | 37.03 | 13 |
| 2 0 0 | 38.57 | 52 |
| 2 0 5 | 54.54 | 17 |
| 2 2 0 | 55.68 | 18 |
| 3 1 3 | 67.54 | 29 |
| 1 1 8 | 68.00 | 11 |